# Si2P3Ir
Theoretical XRD peak list, Cu Kα X-rays. Input: a DFT-relaxed cell (GGA-PBE, Alexandria).
Lines closer than 0.1° are merged.

Cell and atoms:
a b c (Å): 5.9522 5.9522 3.1607
angles (deg): 90.00 90.00 120.00
Element x y z (fractional)
Si (0.3333, 0.6667, 0.0000)
Si (0.6667, 0.3333, 0.0000)
P (0.0000, 0.5000, 0.5000)
P (0.5000, 0.0000, 0.5000)
P (0.5000, 0.5000, 0.5000)
Ir (0.0000, 0.0000, 0.0000)

Top 10 peaks for 10° ≤ 2θ ≤ 80°, low angle first:
- hkl 1 0 0, d = 5.155 Å, 17.2°, I 91
- hkl 1 1 0, d = 2.976 Å, 30.0°, I 74
- hkl 1 0 1, d = 2.694 Å, 33.3°, I 89
- hkl 2 0 0, d = 2.577 Å, 34.8°, I 69
- hkl 1 1 1, d = 2.167 Å, 41.7°, I 100
- hkl 2 1 1, d = 1.659 Å, 55.4°, I 42
- hkl 3 0 1, d = 1.510 Å, 61.4°, I 39
- hkl 2 2 0, d = 1.488 Å, 62.4°, I 22
- hkl 2 0 2, d = 1.347 Å, 69.8°, I 25
- hkl 3 1 1, d = 1.303 Å, 72.6°, I 19